[1]
Starting from a cell relaxed with GGA-PBE, the powder XRD pattern of Cs2KTaI6 was computed for Cu Kα (λ = 1.5418 Å).
Kinematic intensities with the Lorentz-polarization factor, no thermal factor.

Most intense lines, 10° ≤ 2θ ≤ 90°, sorted by position:
12.32 deg, d 7.186, rel. 37
24.78 deg, d 3.593, rel. 80
28.69 deg, d 3.112, rel. 100
41.02 deg, d 2.200, rel. 71
48.52 deg, d 1.876, rel. 31
67.28 deg, d 1.392, rel. 27

Structural model:
abc: 8.8011 8.8011 8.8011
angles: 60.00 60.00 60.00
Atoms (fractional coordinates):
1 Cs 0.2500 0.2500 0.2500
2 Cs 0.7500 0.7500 0.7500
3 K 0.0000 0.0000 0.0000
4 Ta 0.5000 0.5000 0.5000
5 I 0.2716 0.2716 0.7284
6 I 0.2716 0.7284 0.2716
7 I 0.2716 0.7284 0.7284
8 I 0.7284 0.2716 0.2716
9 I 0.7284 0.2716 0.7284
10 I 0.7284 0.7284 0.2716

[2]
Starting from a cell relaxed with GGA-PBE, the powder XRD pattern of Cs2KTlI6 was computed for Cu Kα (λ = 1.5418 Å).
Kinematic intensities with the Lorentz-polarization factor, no thermal factor.

Most intense lines, 10° ≤ 2θ ≤ 90°, sorted by position:
11.96 deg, d 7.397, rel. 30
24.06 deg, d 3.699, rel. 73
27.85 deg, d 3.203, rel. 100
39.80 deg, d 2.265, rel. 74
47.05 deg, d 1.932, rel. 32
65.12 deg, d 1.432, rel. 32

Structural model:
abc: 9.0596 9.0596 9.0596
angles: 60.00 60.00 60.00
Atoms (fractional coordinates):
1 Cs 0.2500 0.2500 0.2500
2 Cs 0.7500 0.7500 0.7500
3 K 0.0000 0.0000 0.0000
4 Tl 0.5000 0.5000 0.5000
5 I 0.2643 0.2643 0.7357
6 I 0.2643 0.7357 0.2643
7 I 0.2643 0.7357 0.7357
8 I 0.7357 0.2643 0.2643
9 I 0.7357 0.2643 0.7357
10 I 0.7357 0.7357 0.2643

[3]
Starting from a cell relaxed with GGA-PBE, the powder XRD pattern of Cs2KYI6 was computed for Cu Kα (λ = 1.5418 Å).
Kinematic intensities with the Lorentz-polarization factor, no thermal factor.

Most intense lines, 10° ≤ 2θ ≤ 90°, sorted by position:
24.04 deg, d 3.701, rel. 100
27.83 deg, d 3.205, rel. 88
39.77 deg, d 2.266, rel. 64
47.01 deg, d 1.933, rel. 45
49.24 deg, d 1.851, rel. 22
65.07 deg, d 1.433, rel. 27

Structural model:
abc: 9.0659 9.0659 9.0659
angles: 60.00 60.00 60.00
Atoms (fractional coordinates):
1 Cs 0.2500 0.2500 0.2500
2 Cs 0.7500 0.7500 0.7500
3 K 0.0000 0.0000 0.0000
4 Y 0.5000 0.5000 0.5000
5 I 0.2640 0.2640 0.7360
6 I 0.2640 0.7360 0.2640
7 I 0.2640 0.7360 0.7360
8 I 0.7360 0.2640 0.2640
9 I 0.7360 0.2640 0.7360
10 I 0.7360 0.7360 0.2640

[4]
Starting from a cell relaxed with GGA-PBE, the powder XRD pattern of Cs3LaI6 was computed for Cu Kα (λ = 1.5418 Å).
Kinematic intensities with the Lorentz-polarization factor, no thermal factor.

Most intense lines, 10° ≤ 2θ ≤ 90°, sorted by position:
25.96 deg, d 3.432, rel. 45
26.98 deg, d 3.305, rel. 100
37.04 deg, d 2.427, rel. 14
42.29 deg, d 2.137, rel. 18
46.42 deg, d 1.956, rel. 21
48.28 deg, d 1.885, rel. 16

Structural model:
abc: 10.8538 10.8538 9.0227
angles: 90.00 90.00 90.00
Atoms (fractional coordinates):
1 Cs 0.0000 0.0000 0.0000
2 Cs 0.0000 0.0000 0.5000
3 Cs 0.2331 0.5881 0.0000
4 Cs 0.4119 0.2331 0.5000
5 Cs 0.5881 0.7669 0.5000
6 Cs 0.7669 0.4119 0.0000
7 La 0.0000 0.5000 0.5000
8 La 0.5000 0.0000 0.0000
9 I 0.0615 0.3006 0.2508
10 I 0.0615 0.3006 0.7492
11 I 0.2829 0.5710 0.5000
12 I 0.3006 0.9385 0.2492
13 I 0.3006 0.9385 0.7508
14 I 0.4290 0.2829 0.0000
15 I 0.5710 0.7171 0.0000
16 I 0.6994 0.0615 0.2492
17 I 0.6994 0.0615 0.7508
18 I 0.7171 0.4290 0.5000
19 I 0.9385 0.6994 0.2508
20 I 0.9385 0.6994 0.7492